1.
The following is a simulated XRD peak list of Ho6GaNi2. It was derived from a crystal structure in the Materials Project, relaxed with PBE, using Cu Kα (weighted mean of Kα1 and Kα2).

abc: 8.237 8.237 8.237
angles: 112.85 109.36 106.28
Element x y z (fractional)
Ho1 0.040 0.236 0.804
Ho2 0.181 0.284 0.465
Ho3 0.181 0.716 0.896
Ho4 0.324 0.019 0.695
Ho5 0.324 0.629 0.305
Ho6 0.432 0.236 0.196
Ho7 0.568 0.764 0.804
Ho8 0.676 0.371 0.695
Ho9 0.676 0.981 0.305
Ho10 0.819 0.284 0.104
Ho11 0.819 0.716 0.535
Ho12 0.960 0.764 0.196
Ga1 0.000 0.000 0.000
Ga2 0.500 0.500 0.000
Ni1 0.123 0.623 0.500
Ni2 0.354 0.000 0.354
Ni3 0.646 0.000 0.646
Ni4 0.877 0.377 0.500

Most intense lines, 2θ from 5° to 70°, low angle first:
2θ 26.62, 3.349 Å, I 21; 2θ 29.55, 3.023 Å, I 22; 2θ 30.91, 2.893 Å, I 26; 2θ 32.69, 2.739 Å, I 100; 2θ 34.91, 2.570 Å, I 46; 2θ 35.01, 2.563 Å, I 57; 2θ 35.65, 2.519 Å, I 43; 2θ 39.57, 2.278 Å, I 23; 2θ 59.66, 1.550 Å, I 26; 2θ 61.62, 1.505 Å, I 29

2.
The following is a simulated XRD peak list of Ho4Ga12Ni. It was derived from a crystal structure in the Materials Project, relaxed with PBE, using Cu Kα (weighted mean of Kα1 and Kα2).

abc: 7.422 7.422 7.422
angles: 109.47 109.47 109.47
Element x y z (fractional)
Ho1 0.000 0.000 0.500
Ho2 0.000 0.500 0.000
Ho3 0.500 0.000 0.000
Ho4 0.500 0.500 0.500
Ga1 0.000 0.290 0.290
Ga2 0.000 0.710 0.710
Ga3 0.250 0.500 0.750
Ga4 0.250 0.750 0.500
Ga5 0.290 0.000 0.290
Ga6 0.290 0.290 0.000
Ga7 0.500 0.250 0.750
Ga8 0.500 0.750 0.250
Ga9 0.710 0.000 0.710
Ga10 0.710 0.710 0.000
Ga11 0.750 0.250 0.500
Ga12 0.750 0.500 0.250
Ni1 0.000 0.000 0.000

Most intense lines, 2θ from 5° to 70°, low angle first:
2θ 20.73, 4.285 Å, I 11; 2θ 29.48, 3.030 Å, I 27; 2θ 36.31, 2.474 Å, I 100; 2θ 39.34, 2.290 Å, I 5; 2θ 42.18, 2.142 Å, I 58; 2θ 47.45, 1.916 Å, I 8; 2θ 52.30, 1.749 Å, I 8; 2θ 61.18, 1.515 Å, I 34; 2θ 65.33, 1.428 Å, I 5; 2θ 69.35, 1.355 Å, I 8

3.
The following is a simulated XRD peak list of Ho3Ga2Ni6. It was derived from a crystal structure in the Materials Project, relaxed with PBE, using Cu Kα (weighted mean of Kα1 and Kα2).

abc: 7.673 7.673 7.673
angles: 109.47 109.47 109.47
Element x y z (fractional)
Ho1 0.000 0.290 0.290
Ho2 0.000 0.710 0.710
Ho3 0.290 0.000 0.290
Ho4 0.290 0.290 0.000
Ho5 0.710 0.000 0.710
Ho6 0.710 0.710 0.000
Ga1 0.000 0.000 0.500
Ga2 0.000 0.500 0.000
Ga3 0.500 0.000 0.000
Ga4 0.500 0.500 0.500
Ni1 0.000 0.339 0.661
Ni2 0.000 0.661 0.339
Ni3 0.322 0.661 0.661
Ni4 0.339 0.000 0.661
Ni5 0.339 0.339 0.678
Ni6 0.339 0.661 0.000
Ni7 0.339 0.678 0.339
Ni8 0.661 0.000 0.339
Ni9 0.661 0.322 0.661
Ni10 0.661 0.339 0.000
Ni11 0.661 0.661 0.322
Ni12 0.678 0.339 0.339

Most intense lines, 2θ from 5° to 70°, low angle first:
2θ 24.61, 3.617 Å, I 22; 2θ 31.94, 2.802 Å, I 37; 2θ 35.09, 2.558 Å, I 48; 2θ 38.00, 2.368 Å, I 26; 2θ 40.74, 2.215 Å, I 26; 2θ 43.33, 2.088 Å, I 100; 2θ 56.93, 1.618 Å, I 21; 2θ 58.97, 1.566 Å, I 9; 2θ 60.98, 1.519 Å, I 12; 2θ 64.88, 1.437 Å, I 17